# Tm4Sc4Pb7
Theoretical PXRD pattern, Cu Kα X-rays. Input: a GGA-PBE-relaxed structure.
No peak broadening, texture or thermal motion is included.

The 6 most intense peaks (2θ from 10° to 80°), low angle first:
| Position (°2θ) | I (rel.) |
| --- | --- |
| 27.89 | 26.0 |
| 31.49 | 100.0 |
| 33.22 | 31.6 |
| 33.93 | 15.0 |
| 46.97 | 15.5 |
| 51.65 | 26.0 |

Unit cell a=11.6569 b=11.6569 c=11.6569 alpha=94.32 beta=94.32 gamma=148.14
Positions (direct):
Tm  0.0000  0.1867  0.1867
Tm  0.0000  0.8133  0.8133
Tm  0.1867  0.0000  0.1867
Tm  0.3701  0.3701  0.7401
Tm  0.3701  0.6299  0.0000
Tm  0.6299  0.3701  0.0000
Tm  0.6299  0.6299  0.2599
Tm  0.8133  0.0000  0.8133
Sc  0.0976  0.5976  0.1951
Sc  0.0976  0.9024  0.5000
Sc  0.4024  0.5976  0.5000
Sc  0.4024  0.9024  0.8049
Sc  0.5976  0.0976  0.1951
Sc  0.5976  0.4024  0.5000
Sc  0.9024  0.0976  0.5000
Sc  0.9024  0.4024  0.8049
Pb  0.0000  0.3995  0.3995
Pb  0.0000  0.6005  0.6005
Pb  0.1940  0.1940  0.3879
Pb  0.1940  0.8060  0.0000
Pb  0.2260  0.5000  0.7260
Pb  0.2483  0.2483  0.0000
Pb  0.3995  0.0000  0.3995
Pb  0.5000  0.2260  0.7260
Pb  0.5000  0.7740  0.2740
Pb  0.6005  0.0000  0.6005
Pb  0.7517  0.7517  0.0000
Pb  0.7740  0.5000  0.2740
Pb  0.8060  0.1940  0.0000
Pb  0.8060  0.8060  0.6121

---

# PmY3Pd4
Theoretical PXRD pattern, Cu Kα X-rays. Input: a GGA-PBE-relaxed structure.
No peak broadening, texture or thermal motion is included.

The 6 most intense peaks (2θ from 10° to 80°), low angle first:
| Position (°2θ) | I (rel.) |
| --- | --- |
| 35.86 | 100.0 |
| 51.62 | 17.3 |
| 64.34 | 8.6 |
| 64.48 | 26.2 |
| 75.93 | 5.3 |
| 76.09 | 5.4 |

Unit cell a=8.6876 b=8.6876 c=8.6876 alpha=33.47 beta=33.47 gamma=33.47
Positions (direct):
Pm  0.0000  0.0000  0.0000
Y  0.2493  0.2493  0.2493
Y  0.5000  0.5000  0.5000
Y  0.7507  0.7507  0.7507
Pd  0.1265  0.1265  0.1265
Pd  0.3776  0.3776  0.3776
Pd  0.6224  0.6224  0.6224
Pd  0.8735  0.8735  0.8735

---

# Ti3N2O3
Theoretical PXRD pattern, Cu Kα X-rays. Input: a GGA-PBE-relaxed structure.
No peak broadening, texture or thermal motion is included.

The 6 most intense peaks (2θ from 10° to 80°), low angle first:
| Position (°2θ) | I (rel.) |
| --- | --- |
| 17.85 | 41.9 |
| 25.27 | 100.0 |
| 32.22 | 64.7 |
| 36.11 | 22.7 |
| 45.44 | 24.3 |
| 48.31 | 31.1 |

Unit cell a=5.3145 b=5.3145 c=10.0518 alpha=90.00 beta=90.00 gamma=138.47
Positions (direct):
Ti  0.1334  0.8666  0.5000
Ti  0.1350  0.8650  0.1072
Ti  0.1948  0.8052  0.8034
Ti  0.8052  0.1948  0.3034
Ti  0.8650  0.1350  0.6072
Ti  0.8666  0.1334  0.0000
N  0.0465  0.9535  0.9402
N  0.3024  0.6976  0.6341
N  0.6976  0.3024  0.1341
N  0.9535  0.0465  0.4402
O  0.0445  0.9555  0.6773
O  0.2465  0.7535  0.3189
O  0.3147  0.6853  0.9799
O  0.6853  0.3147  0.4799
O  0.7535  0.2465  0.8189
O  0.9555  0.0445  0.1773

---

# SrAc2TbTe5
Theoretical PXRD pattern, Cu Kα X-rays. Input: a GGA-PBE-relaxed structure.
No peak broadening, texture or thermal motion is included.

The 6 most intense peaks (2θ from 10° to 80°), low angle first:
| Position (°2θ) | I (rel.) |
| --- | --- |
| 22.61 | 93.2 |
| 27.10 | 39.7 |
| 27.43 | 55.1 |
| 31.88 | 57.4 |
| 32.20 | 100.0 |
| 44.38 | 43.7 |

Unit cell a=5.5607 b=5.5607 c=12.0254 alpha=90.00 beta=90.00 gamma=90.00
Positions (direct):
Sr  0.0000  0.0000  0.0000
Ac  0.5000  0.5000  0.3046
Ac  0.5000  0.5000  0.6954
Tb  0.0000  0.0000  0.5000
Te  0.0000  0.0000  0.2523
Te  0.0000  0.0000  0.7477
Te  0.0000  0.5000  0.5000
Te  0.5000  0.0000  0.5000
Te  0.5000  0.5000  0.0000

---

# Cs4K2CdBi2
Theoretical PXRD pattern, Cu Kα X-rays. Input: a GGA-PBE-relaxed structure.
No peak broadening, texture or thermal motion is included.

The 6 most intense peaks (2θ from 10° to 80°), low angle first:
| Position (°2θ) | I (rel.) |
| --- | --- |
| 16.69 | 36.0 |
| 21.29 | 36.7 |
| 22.74 | 100.0 |
| 26.11 | 67.1 |
| 27.13 | 66.8 |
| 30.07 | 37.8 |

Unit cell a=9.6419 b=9.6419 c=6.0373 alpha=100.16 beta=100.16 gamma=75.68
Positions (direct):
Cs  0.0815  0.6482  0.8108
Cs  0.3518  0.9185  0.1892
Cs  0.6482  0.0815  0.8108
Cs  0.9185  0.3518  0.1892
K  0.3598  0.3598  0.3038
K  0.6402  0.6402  0.6962
Cd  0.0000  0.0000  0.5000
Bi  0.1906  0.1906  0.7092
Bi  0.8094  0.8094  0.2908

---

# Be3Cu2Au3
Theoretical PXRD pattern, Cu Kα X-rays. Input: a GGA-PBE-relaxed structure.
No peak broadening, texture or thermal motion is included.

The 6 most intense peaks (2θ from 10° to 80°), low angle first:
| Position (°2θ) | I (rel.) |
| --- | --- |
| 26.69 | 50.2 |
| 31.14 | 40.2 |
| 34.21 | 36.1 |
| 42.78 | 19.2 |
| 43.59 | 100.0 |
| 54.59 | 17.0 |

Unit cell a=2.9147 b=4.1471 c=16.9096 alpha=90.00 beta=90.00 gamma=90.00
Positions (direct):
Be  0.0000  0.0000  0.0000
Be  0.0000  0.5000  0.1224
Be  0.0000  0.5000  0.8776
Be  0.5000  0.0000  0.3776
Be  0.5000  0.0000  0.6224
Be  0.5000  0.5000  0.5000
Cu  0.0000  0.0000  0.2657
Cu  0.0000  0.0000  0.7343
Cu  0.5000  0.5000  0.2343
Cu  0.5000  0.5000  0.7657
Au  0.0000  0.0000  0.5000
Au  0.0000  0.5000  0.3724
Au  0.0000  0.5000  0.6276
Au  0.5000  0.0000  0.1276
Au  0.5000  0.0000  0.8724
Au  0.5000  0.5000  0.0000